# 1
# VCd2N3
Theoretical XRD peak list, λ = 1.5418 Å (Cu Kα). Input: DFT lattice parameters and positions (GGA-PBE).

Top 10 peaks for 10° ≤ 2θ ≤ 80°, most intense first:
2theta  d/Å  intensity
33.91  2.643  100
33.76  2.655  50
32.01  2.796  50
29.79  3.000  36
58.27  1.583  26
52.65  1.738  25
62.96  1.476  25
29.61  3.017  20
44.29  2.045  18
64.31  1.449  15

```
data_VCd2N3
_cell_length_a 5.999
_cell_length_b 5.999
_cell_length_c 5.593
_cell_angle_alpha 90.00
_cell_angle_beta 90.00
_cell_angle_gamma 60.38
_space_group_name_H-M_alt 'P 1'
_space_group_IT_number 1
loop_
_space_group_symop_operation_xyz
'x,y,z'
loop_
_atom_site_label
_atom_site_type_symbol
_atom_site_fract_x
_atom_site_fract_y
_atom_site_fract_z
_atom_site_occupancy
V1 V 0.156 0.844 0.500 1
V2 V 0.844 0.156 0.000 1
Cd1 Cd 0.167 0.508 0.994 1
Cd2 Cd 0.492 0.833 0.994 1
Cd3 Cd 0.508 0.167 0.494 1
Cd4 Cd 0.833 0.492 0.494 1
N1 N 0.116 0.884 0.163 1
N2 N 0.167 0.551 0.586 1
N3 N 0.449 0.833 0.586 1
N4 N 0.551 0.167 0.086 1
N5 N 0.833 0.449 0.086 1
N6 N 0.884 0.116 0.663 1
```

***

# 2
# VCd2N3
Theoretical XRD peak list, λ = 1.5418 Å (Cu Kα). Input: DFT lattice parameters and positions (GGA-PBE).

Top 10 peaks for 10° ≤ 2θ ≤ 80°, most intense first:
2theta  d/Å  intensity
30.55  2.926  100
34.48  2.601  85
31.41  2.848  62
29.92  2.986  60
37.00  2.430  34
45.11  2.010  25
32.38  2.765  24
44.64  2.030  24
36.02  2.493  19
56.86  1.619  19

```
data_VCd2N3
_cell_length_a 5.896
_cell_length_b 5.896
_cell_length_c 11.061
_cell_angle_alpha 90.00
_cell_angle_beta 90.00
_cell_angle_gamma 120.48
_space_group_name_H-M_alt 'P 1'
_space_group_IT_number 1
loop_
_space_group_symop_operation_xyz
'x,y,z'
loop_
_atom_site_label
_atom_site_type_symbol
_atom_site_fract_x
_atom_site_fract_y
_atom_site_fract_z
_atom_site_occupancy
V1 V 0.247 0.753 0.840 1
V2 V 0.253 0.747 0.340 1
V3 V 0.747 0.253 0.660 1
V4 V 0.753 0.247 0.160 1
Cd1 Cd 0.040 0.960 0.648 1
Cd2 Cd 0.136 0.864 0.077 1
Cd3 Cd 0.364 0.636 0.577 1
Cd4 Cd 0.460 0.540 0.148 1
Cd5 Cd 0.540 0.460 0.852 1
Cd6 Cd 0.636 0.364 0.423 1
Cd7 Cd 0.864 0.136 0.923 1
Cd8 Cd 0.960 0.040 0.352 1
N1 N 0.044 0.456 0.750 1
N2 N 0.070 0.930 0.853 1
N3 N 0.159 0.841 0.477 1
N4 N 0.341 0.659 0.977 1
N5 N 0.430 0.570 0.353 1
N6 N 0.456 0.044 0.250 1
N7 N 0.544 0.956 0.750 1
N8 N 0.570 0.430 0.647 1
N9 N 0.659 0.341 0.023 1
N10 N 0.841 0.159 0.523 1
N11 N 0.930 0.070 0.147 1
N12 N 0.956 0.544 0.250 1
```

***

# 3
# Y2Cd3N4
Theoretical XRD peak list, λ = 1.5418 Å (Cu Kα). Input: DFT lattice parameters and positions (GGA-PBE).

Top 10 peaks for 10° ≤ 2θ ≤ 80°, most intense first:
2theta  d/Å  intensity
30.72  2.910  100
30.09  2.970  51
36.58  2.457  50
39.92  2.258  43
40.57  2.224  43
37.93  2.372  27
48.61  1.873  15
36.44  2.466  14
62.34  1.489  13
34.07  2.631  12

```
data_Y2Cd3N4
_cell_length_a 7.541
_cell_length_b 7.541
_cell_length_c 4.942
_cell_angle_alpha 92.95
_cell_angle_beta 92.95
_cell_angle_gamma 81.32
_space_group_name_H-M_alt 'P 1'
_space_group_IT_number 1
loop_
_space_group_symop_operation_xyz
'x,y,z'
loop_
_atom_site_label
_atom_site_type_symbol
_atom_site_fract_x
_atom_site_fract_y
_atom_site_fract_z
_atom_site_occupancy
Y1 Y 0.021 0.759 0.980 1
Y2 Y 0.241 0.979 0.520 1
Y3 Y 0.759 0.021 0.480 1
Y4 Y 0.979 0.241 0.020 1
Cd1 Cd 0.183 0.415 0.562 1
Cd2 Cd 0.403 0.597 0.250 1
Cd3 Cd 0.415 0.183 0.062 1
Cd4 Cd 0.585 0.817 0.938 1
Cd5 Cd 0.597 0.403 0.750 1
Cd6 Cd 0.817 0.585 0.438 1
N1 N 0.022 0.783 0.495 1
N2 N 0.209 0.457 0.033 1
N3 N 0.217 0.978 0.005 1
N4 N 0.457 0.209 0.533 1
N5 N 0.543 0.791 0.467 1
N6 N 0.783 0.022 0.995 1
N7 N 0.791 0.543 0.967 1
N8 N 0.978 0.217 0.505 1
```

***

# 4
# Zn2CdN2
Theoretical XRD peak list, λ = 1.5418 Å (Cu Kα). Input: DFT lattice parameters and positions (GGA-PBE).

Top 10 peaks for 10° ≤ 2θ ≤ 80°, most intense first:
2theta  d/Å  intensity
33.23  2.696  100
42.19  2.142  57
52.79  1.734  33
71.44  1.321  21
44.47  2.037  15
63.82  1.458  14
69.77  1.348  12
68.96  1.362  11
54.42  1.686  4
14.49  6.111  3

```
data_Zn2CdN2
_cell_length_a 3.468
_cell_length_b 3.468
_cell_length_c 6.111
_cell_angle_alpha 90.00
_cell_angle_beta 90.00
_cell_angle_gamma 120.00
_space_group_name_H-M_alt 'P 1'
_space_group_IT_number 1
loop_
_space_group_symop_operation_xyz
'x,y,z'
loop_
_atom_site_label
_atom_site_type_symbol
_atom_site_fract_x
_atom_site_fract_y
_atom_site_fract_z
_atom_site_occupancy
Zn1 Zn 0.333 0.667 0.352 1
Zn2 Zn 0.667 0.333 0.648 1
Cd1 Cd 0.000 0.000 0.000 1
N1 N 0.333 0.667 0.734 1
N2 N 0.667 0.333 0.266 1
```